No. 1
Calculated powder diffractogram of Lu2Zn17 for Cu Kα, 1.54184 Å, from a PBE-relaxed structure.
Kinematic intensities with the Lorentz-polarization factor, no thermal factor.

Atomic structure:
```
data_Lu2Zn17
_chemical_formula_sum 'Lu4 Zn34'
_cell_length_a 8.8896
_cell_length_b 8.8896
_cell_length_c 8.6977
_cell_angle_alpha 90.00
_cell_angle_beta 90.00
_cell_angle_gamma 120.00
_space_group_name_H-M_alt 'P 63/m m c'
_space_group_IT_number 194
_space_group_name_Hall '-P 6c 2c'
loop_
_atom_site_label
_atom_site_type_symbol
_atom_site_fract_x
_atom_site_fract_y
_atom_site_fract_z
Lu1 Lu 0.0000 0.0000 0.2500
Lu2 Lu 0.3333 0.6667 0.2500
Zn1 Zn 0.0000 0.5000 0.0000
Zn2 Zn 0.0339 0.3624 0.7500
Zn3 Zn 0.1615 0.3230 0.0201
Zn4 Zn 0.3333 0.6667 0.6001
```

Main lines, by intensity (10° ≤ 2θ ≤ 90°):
(3 0 2), d 2.210, I 100; (2 2 0), d 2.222, I 56; (3 0 0), d 2.566, I 41; (2 0 3), d 2.316, I 34; (0 0 4), d 2.174, I 31; (1 1 2), d 3.108, I 30; (2 2 2), d 1.979, I 23; (3 0 6), d 1.262, I 20; (6 0 0), d 1.283, I 19; (3 3 2), d 1.402, I 18

=====

No. 2
Calculated powder diffractogram of LuZr for Cu Kα, 1.54184 Å, from a PBE-relaxed structure.
Kinematic intensities with the Lorentz-polarization factor, no thermal factor.

Atomic structure:
```
data_LuZr
_chemical_formula_sum 'Lu12 Zr12'
_cell_length_a 5.2733
_cell_length_b 17.4954
_cell_length_c 6.7889
_cell_angle_alpha 90.00
_cell_angle_beta 90.00
_cell_angle_gamma 90.00
_space_group_name_H-M_alt 'P m a 2'
_space_group_IT_number 28
_space_group_name_Hall 'P 2 -2a'
loop_
_atom_site_label
_atom_site_type_symbol
_atom_site_fract_x
_atom_site_fract_y
_atom_site_fract_z
Lu1 Lu 0.2500 0.0564 0.0000
Lu2 Lu 0.2500 0.2200 0.2540
Lu3 Lu 0.2500 0.2223 0.7472
Lu4 Lu 0.2500 0.5565 0.7510
Lu5 Lu 0.2500 0.7206 0.4974
Lu6 Lu 0.2500 0.7225 0.0044
Zr1 Zr 0.2500 0.0518 0.5004
Zr2 Zr 0.2500 0.3931 0.0188
Zr3 Zr 0.2500 0.3936 0.4820
Zr4 Zr 0.2500 0.5519 0.2500
Zr5 Zr 0.2500 0.8934 0.7328
Zr6 Zr 0.2500 0.8936 0.2678
```

Main lines, by intensity (10° ≤ 2θ ≤ 90°):
(1 3 2), d 2.564, I 100; (1 6 0), d 2.552, I 48; (2 0 0), d 2.637, I 36; (0 3 2), d 2.934, I 23; (2 9 2), d 1.421, I 21; (3 3 2), d 1.508, I 19; (0 9 2), d 1.687, I 18; (2 3 2), d 1.961, I 15; (1 6 4), d 1.413, I 15; (0 6 0), d 2.916, I 13

=====

No. 3
Calculated powder diffractogram of Mg2Mo for Cu Kα, 1.54184 Å, from a PBE-relaxed structure.
Kinematic intensities with the Lorentz-polarization factor, no thermal factor.

Atomic structure:
```
data_Mg2Mo
_chemical_formula_sum 'Mg8 Mo4'
_cell_length_a 9.7343
_cell_length_b 5.0790
_cell_length_c 4.5149
_cell_angle_alpha 90.00
_cell_angle_beta 90.00
_cell_angle_gamma 90.00
_space_group_name_H-M_alt 'C m c m'
_space_group_IT_number 63
_space_group_name_Hall '-C 2c 2'
loop_
_atom_site_label
_atom_site_type_symbol
_atom_site_fract_x
_atom_site_fract_y
_atom_site_fract_z
Mg1 Mg 0.1618 0.1723 0.2500
Mo1 Mo 0.0000 0.3631 0.7500
```

Main lines, by intensity (10° ≤ 2θ ≤ 90°):
(3 1 1), d 2.339, I 100; (2 0 0), d 4.867, I 66; (0 2 1), d 2.213, I 58; (1 1 0), d 4.503, I 52; (3 1 0), d 2.734, I 43; (1 1 1), d 3.188, I 42; (2 2 1), d 2.016, I 38; (0 0 2), d 2.257, I 35; (6 0 2), d 1.318, I 27; (3 3 2), d 1.250, I 21

=====

No. 4
Calculated powder diffractogram of Mg2Mo3Pd2 for Cu Kα, 1.54184 Å, from a PBE-relaxed structure.
Kinematic intensities with the Lorentz-polarization factor, no thermal factor.

Atomic structure:
```
data_Mg2Mo3Pd2
_chemical_formula_sum 'Mg6 Mo9 Pd6'
_cell_length_a 4.4006
_cell_length_b 4.4006
_cell_length_c 20.1344
_cell_angle_alpha 90.00
_cell_angle_beta 90.00
_cell_angle_gamma 120.00
_space_group_name_H-M_alt 'R 3 m'
_space_group_IT_number 160
_space_group_name_Hall 'R 3 -2"'
loop_
_atom_site_label
_atom_site_type_symbol
_atom_site_fract_x
_atom_site_fract_y
_atom_site_fract_z
Mg1 Mg 0.0000 0.0000 0.0000
Mg2 Mg 0.0000 0.0000 0.4233
Mo1 Mo 0.0000 0.0000 0.2693
Mo2 Mo 0.0000 0.0000 0.5680
Mo3 Mo 0.0000 0.0000 0.8579
Pd1 Pd 0.0000 0.0000 0.1362
Pd2 Pd 0.0000 0.0000 0.7091
```

Main lines, by intensity (10° ≤ 2θ ≤ 90°):
(1 0 7), d 2.296, I 100; (1 1 0), d 2.200, I 93; (0 2 7), d 1.589, I 31; (2 1 7), d 1.288, I 30; (0 1 2), d 3.564, I 26; (0 0 3), d 6.711, I 16; (3 0 0), d 1.270, I 15; (0 1 14), d 1.346, I 15; (0 1 5), d 2.768, I 10; (2 2 0), d 1.100, I 10

=====

No. 5
Calculated powder diffractogram of Mg2SbMo for Cu Kα, 1.54184 Å, from a PBE-relaxed structure.
Kinematic intensities with the Lorentz-polarization factor, no thermal factor.

Atomic structure:
```
data_Mg2SbMo
_chemical_formula_sum 'Mg8 Sb4 Mo4'
_cell_length_a 6.7345
_cell_length_b 6.7345
_cell_length_c 6.7345
_cell_angle_alpha 90.00
_cell_angle_beta 90.00
_cell_angle_gamma 90.00
_space_group_name_H-M_alt 'F -4 3 m'
_space_group_IT_number 216
_space_group_name_Hall 'F -4 2 3'
loop_
_atom_site_label
_atom_site_type_symbol
_atom_site_fract_x
_atom_site_fract_y
_atom_site_fract_z
Mg1 Mg 0.0000 0.0000 0.0000
Mg2 Mg 0.2500 0.2500 0.2500
Sb1 Sb 0.0000 0.0000 0.5000
Mo1 Mo 0.2500 0.2500 0.7500
```

Main lines, by intensity (10° ≤ 2θ ≤ 90°):
(2 2 0), d 2.381, I 100; (1 1 1), d 3.888, I 48; (4 2 2), d 1.375, I 34; (3 1 1), d 2.031, I 24; (4 0 0), d 1.684, I 17; (4 4 0), d 1.191, I 11; (3 3 1), d 1.545, I 10; (5 3 1), d 1.138, I 8; (5 1 1), d 1.296, I 7; (2 0 0), d 3.367, I 1

=====

No. 6
Calculated powder diffractogram of Mg2Zr2Mo for Cu Kα, 1.54184 Å, from a PBE-relaxed structure.
Kinematic intensities with the Lorentz-polarization factor, no thermal factor.

Atomic structure:
```
data_Mg2Zr2Mo
_chemical_formula_sum 'Mg8 Zr8 Mo4'
_cell_length_a 6.0935
_cell_length_b 13.3784
_cell_length_c 5.1952
_cell_angle_alpha 90.00
_cell_angle_beta 90.00
_cell_angle_gamma 90.00
_space_group_name_H-M_alt 'I b a 2'
_space_group_IT_number 45
_space_group_name_Hall 'I 2 -2c'
loop_
_atom_site_label
_atom_site_type_symbol
_atom_site_fract_x
_atom_site_fract_y
_atom_site_fract_z
Mg1 Mg 0.1362 0.0918 0.0000
Zr1 Zr 0.1564 0.3203 0.0009
Mo1 Mo 0.0000 0.5000 0.2479
```

Main lines, by intensity (10° ≤ 2θ ≤ 90°):
(1 1 0), d 5.545, I 100; (2 1 1), d 2.579, I 75; (1 4 1), d 2.553, I 71; (1 3 2), d 2.106, I 45; (1 5 0), d 2.450, I 44; (0 2 2), d 2.421, I 36; (1 2 1), d 3.403, I 34; (3 3 0), d 1.848, I 29; (2 2 0), d 2.773, I 27; (3 5 2), d 1.373, I 24

=====

No. 7
Calculated powder diffractogram of MgTaNO for Cu Kα, 1.54184 Å, from a PBE-relaxed structure.
Kinematic intensities with the Lorentz-polarization factor, no thermal factor.

Atomic structure:
```
data_MgTaNO
_chemical_formula_sum 'Mg1 Ta1 N1 O1'
_cell_length_a 3.0335
_cell_length_b 3.0335
_cell_length_c 4.5048
_cell_angle_alpha 90.00
_cell_angle_beta 90.00
_cell_angle_gamma 90.00
_space_group_name_H-M_alt 'P 4/m m m'
_space_group_IT_number 123
_space_group_name_Hall '-P 4 2'
loop_
_atom_site_label
_atom_site_type_symbol
_atom_site_fract_x
_atom_site_fract_y
_atom_site_fract_z
Mg1 Mg 0.0000 0.0000 0.0000
Ta1 Ta 0.5000 0.5000 0.5000
N1 N 0.0000 0.0000 0.5000
O1 O 0.5000 0.5000 0.0000
```

Main lines, by intensity (10° ≤ 2θ ≤ 90°):
(1 0 1), d 2.516, I 100; (0 0 1), d 4.505, I 80; (1 0 0), d 3.033, I 66; (1 1 0), d 2.145, I 56; (1 1 2), d 1.553, I 39; (1 1 1), d 1.937, I 35; (0 0 2), d 2.252, I 33; (1 0 2), d 1.808, I 30; (2 1 1), d 1.299, I 28; (2 0 2), d 1.258, I 19

=====

No. 8
Calculated powder diffractogram of Sr2MgPtN6 for Cu Kα, 1.54184 Å, from a PBE-relaxed structure.
Kinematic intensities with the Lorentz-polarization factor, no thermal factor.

Atomic structure:
```
data_Sr2MgPtN6
_chemical_formula_sum 'Sr4 Mg2 Pt2 N12'
_cell_length_a 5.6782
_cell_length_b 5.6782
_cell_length_c 8.0381
_cell_angle_alpha 90.00
_cell_angle_beta 90.00
_cell_angle_gamma 90.00
_space_group_name_H-M_alt 'I 4/m'
_space_group_IT_number 87
_space_group_name_Hall '-I 4'
loop_
_atom_site_label
_atom_site_type_symbol
_atom_site_fract_x
_atom_site_fract_y
_atom_site_fract_z
Sr1 Sr 0.0000 0.5000 0.2500
Mg1 Mg 0.0000 0.0000 0.0000
Pt1 Pt 0.0000 0.0000 0.5000
N1 N 0.0000 0.0000 0.2519
N2 N 0.2422 0.7460 0.5000
```

Main lines, by intensity (10° ≤ 2θ ≤ 90°):
(2 0 0), d 2.840, I 100; (1 0 1), d 4.638, I 46; (3 1 2), d 1.640, I 40; (2 2 0), d 2.008, I 30; (2 1 1), d 2.422, I 26; (4 0 0), d 1.420, I 18; (4 2 0), d 1.270, I 18; (2 1 3), d 1.843, I 12; (3 2 1), d 1.546, I 9; (1 4 1), d 1.358, I 9

=====

No. 9
Calculated powder diffractogram of MgZnPt2N4 for Cu Kα, 1.54184 Å, from a PBE-relaxed structure.
Kinematic intensities with the Lorentz-polarization factor, no thermal factor.

Atomic structure:
```
data_MgZnPt2N4
_chemical_formula_sum 'Mg2 Zn2 Pt4 N8'
_cell_length_a 4.6704
_cell_length_b 4.6704
_cell_length_c 9.4351
_cell_angle_alpha 90.00
_cell_angle_beta 90.00
_cell_angle_gamma 90.00
_space_group_name_H-M_alt 'I -4'
_space_group_IT_number 82
_space_group_name_Hall 'I -4'
loop_
_atom_site_label
_atom_site_type_symbol
_atom_site_fract_x
_atom_site_fract_y
_atom_site_fract_z
Mg1 Mg 0.0000 0.0000 0.0000
Zn1 Zn 0.0000 0.5000 0.2500
Pt1 Pt 0.0000 0.0000 0.5000
Pt2 Pt 0.0000 0.5000 0.7500
N1 N 0.2429 0.2451 0.6273
```

Main lines, by intensity (10° ≤ 2θ ≤ 90°):
(1 1 2), d 2.705, I 100; (1 0 1), d 4.186, I 54; (2 0 4), d 1.660, I 27; (3 1 2), d 1.409, I 27; (2 0 0), d 2.335, I 26; (2 1 1), d 2.039, I 16; (1 0 3), d 2.609, I 16; (1 1 6), d 1.420, I 14; (2 2 0), d 1.651, I 13; (0 0 4), d 2.359, I 13

=====

No. 10
Calculated powder diffractogram of MgZnW2N4 for Cu Kα, 1.54184 Å, from a PBE-relaxed structure.
Kinematic intensities with the Lorentz-polarization factor, no thermal factor.

Atomic structure:
```
data_MgZnW2N4
_chemical_formula_sum 'Mg1 Zn1 W2 N4'
_cell_length_a 2.9080
_cell_length_b 2.9080
_cell_length_c 10.9108
_cell_angle_alpha 90.00
_cell_angle_beta 90.00
_cell_angle_gamma 120.00
_space_group_name_H-M_alt 'P -3 m 1'
_space_group_IT_number 164
_space_group_name_Hall '-P 3 2"'
loop_
_atom_site_label
_atom_site_type_symbol
_atom_site_fract_x
_atom_site_fract_y
_atom_site_fract_z
Mg1 Mg 0.0000 0.0000 0.0000
Zn1 Zn 0.0000 0.0000 0.5000
W1 W 0.0000 0.0000 0.2500
N1 N 0.3333 0.6667 0.6305
N2 N 0.3333 0.6667 0.8713
```

Main lines, by intensity (10° ≤ 2θ ≤ 90°):
(1 0 0), d 2.518, I 100; (1 0 4), d 1.850, I 100; (0 0 2), d 5.455, I 86; (1 0 2), d 2.286, I 57; (0 0 4), d 2.728, I 36; (1 1 0), d 1.454, I 24; (1 1 4), d 1.283, I 23; (0 2 4), d 1.143, I 20; (0 1 8), d 1.199, I 20; (1 0 6), d 1.474, I 15

=====

No. 11
Calculated powder diffractogram of Na2MgNbS4 for Cu Kα, 1.54184 Å, from a PBE-relaxed structure.
Kinematic intensities with the Lorentz-polarization factor, no thermal factor.

Atomic structure:
```
data_Na2MgNbS4
_chemical_formula_sum 'Na4 Mg2 Nb2 S8'
_cell_length_a 9.1422
_cell_length_b 9.8149
_cell_length_c 6.4657
_cell_angle_alpha 90.00
_cell_angle_beta 134.98
_cell_angle_gamma 90.00
_space_group_name_H-M_alt 'C 1 2 1'
_space_group_IT_number 5
_space_group_name_Hall 'C 2y'
loop_
_atom_site_label
_atom_site_type_symbol
_atom_site_fract_x
_atom_site_fract_y
_atom_site_fract_z
Na1 Na 0.0000 0.0000 0.0000
Na2 Na 0.0000 0.2492 0.5000
Mg1 Mg 0.0000 0.7500 0.5000
Nb1 Nb 0.0000 0.4998 0.0000
S1 S 0.1979 0.6249 0.9594
S2 S 0.2383 0.3748 0.4365
```

Main lines, by intensity (10° ≤ 2θ ≤ 90°):
(2 2 -1), d 3.345, I 100; (1 1 -1), d 5.400, I 60; (2 4 0), d 1.955, I 37; (2 2 -3), d 1.888, I 31; (0 0 2), d 2.286, I 28; (1 3 -2), d 2.166, I 14; (2 0 -1), d 4.572, I 13; (1 1 1), d 2.774, I 12; (6 4 -2), d 1.246, I 11; (1 1 2), d 1.764, I 10

=====

No. 12
Calculated powder diffractogram of Na2MgNiS4 for Cu Kα, 1.54184 Å, from a PBE-relaxed structure.
Kinematic intensities with the Lorentz-polarization factor, no thermal factor.

Atomic structure:
```
data_Na2MgNiS4
_chemical_formula_sum 'Na4 Mg2 Ni2 S8'
_cell_length_a 6.6128
_cell_length_b 6.6128
_cell_length_c 7.8893
_cell_angle_alpha 90.00
_cell_angle_beta 90.00
_cell_angle_gamma 90.00
_space_group_name_H-M_alt 'I -4'
_space_group_IT_number 82
_space_group_name_Hall 'I -4'
loop_
_atom_site_label
_atom_site_type_symbol
_atom_site_fract_x
_atom_site_fract_y
_atom_site_fract_z
Na1 Na 0.0000 0.0000 0.0000
Na2 Na 0.0000 0.5000 0.2500
Mg1 Mg 0.0000 0.0000 0.5000
Ni1 Ni 0.0000 0.5000 0.7500
S1 S 0.1906 0.7334 0.6426
```

Main lines, by intensity (10° ≤ 2θ ≤ 90°):
(1 1 2), d 3.015, I 100; (1 0 1), d 5.068, I 49; (2 2 0), d 2.338, I 38; (1 3 2), d 1.848, I 33; (2 0 4), d 1.694, I 27; (2 3 1), d 1.786, I 13; (1 2 1), d 2.769, I 11; (1 2 3), d 1.965, I 9; (4 0 0), d 1.653, I 9; (4 2 4), d 1.183, I 9

=====

No. 13
Calculated powder diffractogram of Na2MgTcO6 for Cu Kα, 1.54184 Å, from a PBE-relaxed structure.
Kinematic intensities with the Lorentz-polarization factor, no thermal factor.

Atomic structure:
```
data_Na2MgTcO6
_chemical_formula_sum 'Na4 Mg2 Tc2 O12'
_cell_length_a 5.4091
_cell_length_b 5.4091
_cell_length_c 7.7695
_cell_angle_alpha 90.00
_cell_angle_beta 90.00
_cell_angle_gamma 90.00
_space_group_name_H-M_alt 'I 4/m'
_space_group_IT_number 87
_space_group_name_Hall '-I 4'
loop_
_atom_site_label
_atom_site_type_symbol
_atom_site_fract_x
_atom_site_fract_y
_atom_site_fract_z
Na1 Na 0.0000 0.5000 0.2500
Mg1 Mg 0.0000 0.0000 0.0000
Tc1 Tc 0.0000 0.0000 0.5000
O1 O 0.0000 0.0000 0.2576
O2 O 0.1896 0.7092 0.5000
```

Main lines, by intensity (10° ≤ 2θ ≤ 90°):
(1 0 1), d 4.439, I 100; (1 1 2), d 2.725, I 80; (1 1 0), d 3.825, I 61; (2 0 0), d 2.705, I 51; (2 2 0), d 1.912, I 44; (3 1 2), d 1.565, I 40; (0 0 2), d 3.885, I 36; (2 1 1), d 2.310, I 35; (0 0 4), d 1.942, I 28; (2 2 4), d 1.363, I 25